This entry pairs a crystal structure of TbAgTe3Pb with its computed powder XRD pattern. Radiation: λ = 1.5418 Å (Cu Kα). Structure: the GGA-PBE geometry in OQMD.
Kinematic intensities with the Lorentz-polarization factor, no thermal factor.

Principal peaks in the range 15 to 90 degrees two-theta, by angle:
- 26.6 deg, I 158, (0 2 3)
- 28.5 deg, I 775, (1 3 1)
- 31.7 deg, I 1000, (1 3 2)
- 31.8 deg, I 375, (0 0 4)
- 32.1 deg, I 277, (1 1 3)
- 36.5 deg, I 208, (1 3 3)
- 39.7 deg, I 254, (0 6 2)
- 41.6 deg, I 307, (2 0 0)
- 43.8 deg, I 137, (0 6 3)
- 49.2 deg, I 230, (1 3 5)
- 53.3 deg, I 174, (2 0 4)
- 58.9 deg, I 162, (2 6 2)

Atomic structure:
Lattice parameters (Å, degrees): 4.3384 14.8748 11.2462 90.00 90.00 90.00
Space group Cmcm (No. 63)
Inequivalent atoms, fractional coordinates:
Tb  0.0000  0.0000  0.0000 x4
Ag  0.0000  0.4714  0.2500 x4
Te  0.0000  0.0939  0.2500 x4
Te  0.0000  0.3543  0.0545 x8
Pb  0.0000  0.2314  0.7500 x4

=====

This entry pairs a crystal structure of TbAgTe3Pb with its computed powder XRD pattern. Radiation: λ = 1.5418 Å (Cu Kα). Structure: the GGA-PBE geometry in OQMD.
Kinematic intensities with the Lorentz-polarization factor, no thermal factor.

Principal peaks in the range 15 to 90 degrees two-theta, by angle:
- 22.2 deg, I 249, (2 0 0)
- 25.9 deg, I 480, (0 0 3)
- 27.1 deg, I 282, (1 1 -2)
- 29.7 deg, I 1000, (2 1 -1)
- 30.3 deg, I 574, (2 1 0)
- 32.6 deg, I 676, (1 1 -3)
- 33.3 deg, I 804, (2 1 1)
- 33.5 deg, I 393, (1 0 -4)
- 35.8 deg, I 222, (2 0 -4)
- 37.5 deg, I 250, (1 1 3)
- 39.7 deg, I 228, (1 0 4)
- 41.5 deg, I 751, (0 2 0)

Atomic structure:
Lattice parameters (Å, degrees): 8.3637 4.3551 10.7235 90.00 106.37 90.00
Space group P2_1/m (No. 11)
Inequivalent atoms, fractional coordinates:
Tb  0.1968  0.2500  0.1695 x2
Ag  0.4151  0.7500  0.4094 x2
Te  0.0781  0.2500  0.8658 x2
Te  0.2130  0.2500  0.4621 x2
Te  0.4516  0.7500  0.1565 x2
Pb  0.2407  0.7500  0.7031 x2

=====

This entry pairs a crystal structure of Ag2Te2Pb with its computed powder XRD pattern. Radiation: λ = 1.5418 Å (Cu Kα). Structure: the GGA-PBE geometry in OQMD.
Kinematic intensities with the Lorentz-polarization factor, no thermal factor.

Principal peaks in the range 15 to 90 degrees two-theta, by angle:
- 24.2 deg, I 338, (0 2 1)
- 25.0 deg, I 256, (1 0 -2)
- 27.1 deg, I 560, (1 1 -2)
- 29.7 deg, I 301, (1 2 0)
- 30.5 deg, I 1000, (1 1 1)
- 33.8 deg, I 720, (0 3 1)
- 36.2 deg, I 329, (1 1 -3)
- 37.1 deg, I 204, (1 3 -1)
- 40.6 deg, I 715, (1 2 -3)
- 44.7 deg, I 356, (2 2 -1)
- 47.6 deg, I 203, (1 4 0)
- 50.9 deg, I 249, (0 0 4)

Atomic structure:
Lattice parameters (Å, degrees): 4.6382 8.5720 7.8891 90.00 114.58 90.00
Space group P2_1/c (No. 14)
Inequivalent atoms, fractional coordinates:
Ag  0.1289  0.1444  0.4760 x4
Te  0.2137  0.6384  0.7881 x4
Pb  0.5000  0.0000  0.0000 x2

=====

This entry pairs a crystal structure of YTmAg2Pb2 with its computed powder XRD pattern. Radiation: λ = 1.5418 Å (Cu Kα). Structure: the GGA-PBE geometry in OQMD.
Kinematic intensities with the Lorentz-polarization factor, no thermal factor.

Principal peaks in the range 15 to 90 degrees two-theta, by angle:
- 24.5 deg, I 383, (0 1 1)
- 32.3 deg, I 1000, (0 1 2)
- 37.5 deg, I 969, (1 1 0)
- 42.5 deg, I 345, (1 0 3)
- 50.3 deg, I 289, (2 0 2)
- 57.9 deg, I 138, (0 2 3)
- 63.3 deg, I 160, (1 1 4)
- 64.4 deg, I 274, (1 2 2)
- 66.9 deg, I 136, (0 1 5)
- 67.6 deg, I 177, (3 0 0)
- 71.1 deg, I 152, (2 1 3)
- 88.9 deg, I 144, (3 1 2)

Atomic structure:
Lattice parameters (Å, degrees): 4.7993 4.7993 7.4304 90.00 90.00 120.00
Space group P3m1 (No. 156)
Inequivalent atoms, fractional coordinates:
Y  0.0000  0.0000  0.0000 x1
Tm  0.0000  0.0000  0.5008 x1
Ag  0.3333  0.6667  0.1875 x1
Ag  0.6667  0.3333  0.6819 x1
Pb  0.3333  0.6667  0.7778 x1
Pb  0.6667  0.3333  0.2813 x1

=====

This entry pairs a crystal structure of Y3Ag4Pb4 with its computed powder XRD pattern. Radiation: λ = 1.5418 Å (Cu Kα). Structure: the GGA-PBE geometry in OQMD.
Kinematic intensities with the Lorentz-polarization factor, no thermal factor.

Principal peaks in the range 15 to 90 degrees two-theta, by angle:
- 19.8 deg, I 207, (1 0 1)
- 26.4 deg, I 192, (0 2 2)
- 31.0 deg, I 230, (0 1 5)
- 31.1 deg, I 1000, (1 2 1)
- 32.1 deg, I 658, (1 1 4)
- 34.4 deg, I 292, (0 0 6)
- 38.5 deg, I 500, (2 0 0)
- 42.2 deg, I 242, (0 2 6)
- 42.3 deg, I 554, (1 2 5)
- 42.7 deg, I 402, (1 3 2)
- 58.5 deg, I 186, (2 2 6)
- 63.7 deg, I 205, (2 4 0)

Atomic structure:
Lattice parameters (Å, degrees): 4.6753 7.4886 15.6385 90.00 90.00 90.00
Space group Immm (No. 71)
Inequivalent atoms, fractional coordinates:
Y  0.0000  0.0000  0.0000 x2
Y  0.0000  0.5000  0.1279 x4
Ag  0.0000  0.3005  0.3274 x8
Pb  0.0000  0.0000  0.2137 x4
Pb  0.0000  0.2030  0.5000 x4

=====

This entry pairs a crystal structure of ZnAg2Pb with its computed powder XRD pattern. Radiation: λ = 1.5418 Å (Cu Kα). Structure: the GGA-PBE geometry in OQMD.
Kinematic intensities with the Lorentz-polarization factor, no thermal factor.

Principal peaks in the range 15 to 90 degrees two-theta, by angle:
- 22.2 deg, I 91, (1 1 1)
- 25.7 deg, I 86, (2 0 0)
- 36.7 deg, I 1000, (2 2 0)
- 43.3 deg, I 53, (3 1 1)
- 45.3 deg, I 27, (2 2 2)
- 52.9 deg, I 172, (4 0 0)
- 58.0 deg, I 24, (3 3 1)
- 59.7 deg, I 37, (4 2 0)
- 66.1 deg, I 346, (4 2 2)
- 78.0 deg, I 108, (4 4 0)
- 83.8 deg, I 20, (6 0 0)
- 89.5 deg, I 160, (6 2 0)

Atomic structure:
Lattice parameters (Å, degrees): 6.9284 6.9284 6.9284 90.00 90.00 90.00
Space group F-43m (No. 216)
Inequivalent atoms, fractional coordinates:
Zn  0.0000  0.0000  0.0000 x4
Ag  0.0000  0.0000  0.5000 x4
Ag  0.2500  0.2500  0.2500 x4
Pb  0.2500  0.2500  0.7500 x4

=====

Please write out number 1 again, unchanged.
This entry pairs a crystal structure of TbAgTe3Pb with its computed powder XRD pattern. Radiation: λ = 1.5418 Å (Cu Kα). Structure: the GGA-PBE geometry in OQMD.
Kinematic intensities with the Lorentz-polarization factor, no thermal factor.

Principal peaks in the range 15 to 90 degrees two-theta, by angle:
- 26.6 deg, I 158, (0 2 3)
- 28.5 deg, I 775, (1 3 1)
- 31.7 deg, I 1000, (1 3 2)
- 31.8 deg, I 375, (0 0 4)
- 32.1 deg, I 277, (1 1 3)
- 36.5 deg, I 208, (1 3 3)
- 39.7 deg, I 254, (0 6 2)
- 41.6 deg, I 307, (2 0 0)
- 43.8 deg, I 137, (0 6 3)
- 49.2 deg, I 230, (1 3 5)
- 53.3 deg, I 174, (2 0 4)
- 58.9 deg, I 162, (2 6 2)

Atomic structure:
Lattice parameters (Å, degrees): 4.3384 14.8748 11.2462 90.00 90.00 90.00
Space group Cmcm (No. 63)
Inequivalent atoms, fractional coordinates:
Tb  0.0000  0.0000  0.0000 x4
Ag  0.0000  0.4714  0.2500 x4
Te  0.0000  0.0939  0.2500 x4
Te  0.0000  0.3543  0.0545 x8
Pb  0.0000  0.2314  0.7500 x4